Diffraction record for PrDy4Cd. The powder X-ray diffraction pattern is theoretical, not measured: it uses the PBE geometry in Alexandria and Cu Kα, 1.54184 Å.

Cell and atoms:
```
data_PrDy4Cd
_chemical_formula_sum 'Pr1 Dy4 Cd1'
_cell_length_a 3.6052
_cell_length_b 3.6052
_cell_length_c 14.1165
_cell_angle_alpha 90.00
_cell_angle_beta 90.00
_cell_angle_gamma 90.00
_symmetry_space_group_name_H-M 'P 4/m m m'
_symmetry_Int_Tables_number 123
_symmetry_space_group_name_Hall '-P 4 2'
loop_
_atom_site_label
_atom_site_type_symbol
_atom_site_fract_x
_atom_site_fract_y
_atom_site_fract_z
_atom_site_occupancy
Pr1 Pr 0.0000 0.0000 0.0000 1
Dy1 Dy 0.0000 0.0000 0.3557 1
Dy2 Dy 0.5000 0.5000 0.1812 1
Cd1 Cd 0.5000 0.5000 0.5000 1
```

Most intense lines, 2θ from 10° to 80°, by angle:
- 31.26°, I 100, hkl 1 0 3
- 35.20°, I 40, hkl 1 1 0
- 38.25°, I 11, hkl 0 0 6
- 48.09°, I 5, hkl 1 1 5
- 50.64°, I 14, hkl 2 0 0
- 52.96°, I 17, hkl 1 1 6
- 58.21°, I 6, hkl 1 0 8
- 60.72°, I 30, hkl 2 1 3
- 64.82°, I 5, hkl 1 0 9
- 65.20°, I 9, hkl 2 0 6